No. 1
Calculated XRD peak list
Compound: MnCrRh6
Radiation: Cu Kα X-rays
Structure: a crystal structure in Alexandria, relaxed with GGA-PBE

Main lines, sorted by position (2θ = 10–80°):
d [Å], I/Imax, hkl
3.803, 6, 0 0 1
2.689, 5, 1 1 1
2.196, 100, 2 0 1
1.902, 48, 2 2 0
1.701, 3, 3 1 0
1.553, 2, 2 0 2
1.345, 29, 4 0 0
1.268, 1, 3 1 2
1.203, 1, 3 3 1

Structural model:
Cell: 5.377 5.377 3.806 Å, 90.00 90.00 90.00°
Space group P4/mmm (No. 123)
Asymmetric unit:
Mn (0.000, 0.000, 0.000) (multiplicity 1)
Cr (0.500, 0.500, 0.000) (multiplicity 1)
Rh (0.000, 0.500, 0.000) (multiplicity 2)
Rh (0.253, 0.253, 0.500) (multiplicity 4)

No. 2
Calculated XRD peak list
Compound: SmGa2Tc2B
Radiation: Cu Kα X-rays
Structure: a crystal structure in Alexandria, relaxed with GGA-PBE

Main lines, sorted by position (2θ = 10–80°):
d [Å], I/Imax, hkl
3.368, 21, 1 0 1
2.773, 10, 0 0 2
2.637, 100, 1 1 1
2.321, 47, 1 0 2
2.120, 51, 2 0 0
2.036, 12, 1 1 2
1.574, 13, 1 1 3
1.565, 27, 2 1 2
1.499, 17, 2 2 0
1.303, 22, 3 1 1

Structural model:
Cell: 4.239 4.239 5.547 Å, 90.00 90.00 90.00°
Space group P4/mmm (No. 123)
Asymmetric unit:
Sm (0.000, 0.000, 0.000) (multiplicity 1)
Ga (0.500, 0.500, 0.228) (multiplicity 2)
Tc (0.000, 0.500, 0.500) (multiplicity 2)
B (0.000, 0.000, 0.500) (multiplicity 1)

No. 3
Calculated XRD peak list
Compound: TbNp2As3
Radiation: Cu Kα X-rays
Structure: a crystal structure in Alexandria, relaxed with GGA-PBE

Main lines, sorted by position (2θ = 10–80°):
d [Å], I/Imax, hkl
6.486, 2, 1 1 1
3.979, 1, 1 1 5
3.360, 39, 2 2 0
2.910, 100, 2 0 6
2.058, 75, 4 0 0
1.755, 20, 4 2 6
1.680, 27, 4 4 0
1.455, 13, 4 0 12
1.335, 8, 6 2 0
1.301, 35, 6 0 6

Structural model:
Cell: 8.233 11.641 24.680 Å, 90.00 90.00 90.00°
Space group Fddd (No. 70, origin choice 2)
Asymmetric unit:
Tb (0.125, 0.125, 0.042) (multiplicity 16)
Np (0.125, 0.125, 0.375) (multiplicity 16)
Np (0.125, 0.125, 0.541) (multiplicity 16)
As (0.122, 0.375, 0.875) (multiplicity 16)
As (0.124, 0.374, 0.708) (multiplicity 32)

No. 4
Calculated XRD peak list
Compound: LiDy6Pd2
Radiation: Cu Kα X-rays
Structure: a crystal structure in Alexandria, relaxed with GGA-PBE

Main lines, sorted by position (2θ = 10–80°):
d [Å], I/Imax, hkl
3.104, 64, 1 1 -2
3.011, 35, 3 1 -1
2.795, 45, 0 0 3
2.743, 100, 3 1 0
2.705, 36, 2 0 2
2.579, 62, 3 1 -3
2.550, 48, 4 0 -4
2.332, 35, 3 1 1
2.319, 42, 6 0 -2
1.979, 38, 0 2 0

Structural model:
Cell: 14.107 3.959 10.365 Å, 90.00 126.00 90.00°
Space group C2/m (No. 12)
Asymmetric unit:
Li (0.000, 0.000, 0.000) (multiplicity 2)
Dy (0.021, 0.000, 0.681) (multiplicity 4)
Dy (0.167, 0.500, 0.027) (multiplicity 4)
Dy (0.218, 0.500, 0.620) (multiplicity 4)
Pd (0.094, 0.500, 0.246) (multiplicity 4)

No. 5
Calculated XRD peak list
Compound: CaInGe2Pd5
Radiation: Cu Kα X-rays
Structure: a crystal structure in Alexandria, relaxed with GGA-PBE

Main lines, sorted by position (2θ = 10–80°):
d [Å], I/Imax, hkl
3.776, 10, 0 0 2
2.491, 100, 1 1 2
2.344, 75, 2 0 0
2.218, 20, 1 0 3
1.888, 10, 0 0 4
1.657, 25, 2 2 0
1.611, 14, 2 1 3
1.470, 16, 2 0 4
1.380, 30, 3 1 2
1.246, 9, 2 2 4

Structural model:
Cell: 4.688 4.688 7.552 Å, 90.00 90.00 90.00°
Space group P4/mmm (No. 123)
Asymmetric unit:
Ca (0.000, 0.000, 0.000) (multiplicity 1)
In (0.000, 0.000, 0.500) (multiplicity 1)
Ge (0.500, 0.500, 0.340) (multiplicity 2)
Pd (0.000, 0.500, 0.244) (multiplicity 4)
Pd (0.500, 0.500, 0.000) (multiplicity 1)

No. 6
Calculated XRD peak list
Compound: TlBi
Radiation: Cu Kα X-rays
Structure: a crystal structure in Alexandria, relaxed with GGA-PBE

Main lines, sorted by position (2θ = 10–80°):
d [Å], I/Imax, hkl
2.813, 100, 1 1 0
1.989, 19, 2 0 0
1.624, 40, 2 1 1
1.407, 13, 2 2 0
1.258, 18, 3 1 0

Structural model:
Cell: 3.979 3.979 3.979 Å, 90.00 90.00 90.00°
Space group Pm-3m (No. 221)
Asymmetric unit:
Tl (0.000, 0.000, 0.000) (multiplicity 1)
Bi (0.500, 0.500, 0.500) (multiplicity 1)